Entry 1:
For Cs2NaAg2F7, a structure optimized by DFT (GGA-PBE) gives the simulated XRD peak list in this record (λ = 1.5418 Å (Cu Kα)).
Neutral-atom scattering factors, no anomalous dispersion.

Peak list (8 most intense, 10° ≤ 2θ ≤ 80°, by angle)
two_theta  I/Imax
15.35  24
23.01  30
27.78  100
28.23  73
40.35  47
40.54  16
49.69  40
58.39  15

Cell and atoms:
Lattice parameters (Å, degrees): 11.9697 11.9697 11.9697 158.48 158.48 30.63
Sites, in units of the cell vectors:
Cs 0.1808 0.1808 0.0000
Cs 0.8192 0.8192 0.0000
Na 0.0000 0.0000 0.0000
Ag 0.4084 0.4084 0.0000
Ag 0.5916 0.5916 0.0000
F 0.0846 0.5846 0.5000
F 0.3122 0.3122 0.0000
F 0.4154 0.9154 0.5000
F 0.5000 0.5000 0.0000
F 0.5846 0.0846 0.5000
F 0.6878 0.6878 0.0000
F 0.9154 0.4154 0.5000


Entry 2:
For Cs4AgPb3F12, a structure optimized by DFT (GGA-PBE) gives the simulated XRD peak list in this record (λ = 1.5418 Å (Cu Kα)).
Neutral-atom scattering factors, no anomalous dispersion.

Peak list (8 most intense, 10° ≤ 2θ ≤ 80°, by angle)
two_theta  I/Imax
18.50  7
26.28  100
37.50  32
46.37  44
54.08  21
61.09  20
67.66  7
73.94  23

Cell and atoms:
Lattice parameters (Å, degrees): 8.3079 8.3079 8.3079 109.47 109.47 109.47
Sites, in units of the cell vectors:
Cs 0.0000 0.0000 0.5000
Cs 0.0000 0.5000 0.0000
Cs 0.5000 0.0000 0.0000
Cs 0.5000 0.5000 0.5000
Ag 0.0000 0.0000 0.0000
Pb 0.0000 0.5000 0.5000
Pb 0.5000 0.0000 0.5000
Pb 0.5000 0.5000 0.0000
F 0.0000 0.2491 0.2491
F 0.0000 0.7509 0.7509
F 0.2491 0.0000 0.2491
F 0.2491 0.2491 0.0000
F 0.2500 0.5000 0.7500
F 0.2500 0.7500 0.5000
F 0.5000 0.2500 0.7500
F 0.5000 0.7500 0.2500
F 0.7500 0.2500 0.5000
F 0.7500 0.5000 0.2500
F 0.7509 0.0000 0.7509
F 0.7509 0.7509 0.0000


Entry 3:
For Cs2AgPdF6, a structure optimized by DFT (GGA-PBE) gives the simulated XRD peak list in this record (λ = 1.5418 Å (Cu Kα)).
Neutral-atom scattering factors, no anomalous dispersion.

Peak list (8 most intense, 10° ≤ 2θ ≤ 80°, by angle)
two_theta  I/Imax
15.98  32
21.49  69
27.87  100
33.08  66
35.46  52
43.79  55
52.70  47
57.59  21

Cell and atoms:
Lattice parameters (Å, degrees): 6.4024 6.4024 6.2062 90.00 90.00 120.00
Sites, in units of the cell vectors:
Cs 0.3333 0.6667 0.1963
Cs 0.6667 0.3333 0.8037
Ag 0.0000 0.0000 0.5000
Pd 0.0000 0.0000 0.0000
F 0.1497 0.2994 0.8002
F 0.1497 0.8503 0.8002
F 0.2994 0.1497 0.1998
F 0.7006 0.8503 0.8002
F 0.8503 0.1497 0.1998
F 0.8503 0.7006 0.1998


Entry 4:
For Cs2AgPdF6, a structure optimized by DFT (GGA-PBE) gives the simulated XRD peak list in this record (λ = 1.5418 Å (Cu Kα)).
Neutral-atom scattering factors, no anomalous dispersion.

Peak list (8 most intense, 10° ≤ 2θ ≤ 80°, by angle)
two_theta  I/Imax
28.09  100
34.58  5
40.14  34
49.71  40
58.07  21
65.72  18
72.94  7
79.89  21

Cell and atoms:
Lattice parameters (Å, degrees): 6.3537 6.3537 6.3537 60.00 60.00 60.00
Sites, in units of the cell vectors:
Cs 0.2500 0.2500 0.2500
Cs 0.7500 0.7500 0.7500
Ag 0.0000 0.0000 0.0000
Pd 0.5000 0.5000 0.5000
F 0.2646 0.2646 0.7354
F 0.2646 0.7354 0.2646
F 0.2646 0.7354 0.7354
F 0.7354 0.2646 0.2646
F 0.7354 0.2646 0.7354
F 0.7354 0.7354 0.2646


Entry 5:
For Cs3PmAg2F9, a structure optimized by DFT (GGA-PBE) gives the simulated XRD peak list in this record (λ = 1.5418 Å (Cu Kα)).
Neutral-atom scattering factors, no anomalous dispersion.

Peak list (8 most intense, 10° ≤ 2θ ≤ 80°, by angle)
two_theta  I/Imax
26.90  100
27.20  100
38.63  68
47.88  41
48.07  21
55.44  19
56.11  22
63.29  18

Cell and atoms:
Lattice parameters (Å, degrees): 6.5566 6.5566 8.1658 90.00 90.00 120.00
Sites, in units of the cell vectors:
Cs 0.0000 0.0000 0.0000
Cs 0.3333 0.6667 0.6971
Cs 0.6667 0.3333 0.3029
Pm 0.0000 0.0000 0.5000
Ag 0.3333 0.6667 0.1610
Ag 0.6667 0.3333 0.8390
F 0.0000 0.5000 0.0000
F 0.1619 0.3237 0.3381
F 0.1619 0.8381 0.3381
F 0.3237 0.1619 0.6619
F 0.5000 0.0000 0.0000
F 0.5000 0.5000 0.0000
F 0.6763 0.8381 0.3381
F 0.8381 0.1619 0.6619
F 0.8381 0.6763 0.6619


Entry 6:
For CsRbAgF6, a structure optimized by DFT (GGA-PBE) gives the simulated XRD peak list in this record (λ = 1.5418 Å (Cu Kα)).
Neutral-atom scattering factors, no anomalous dispersion.

Peak list (8 most intense, 10° ≤ 2θ ≤ 80°, by angle)
two_theta  I/Imax
23.67  50
24.16  100
28.28  64
29.12  30
37.19  34
37.86  53
39.10  36
58.48  25

Cell and atoms:
Lattice parameters (Å, degrees): 6.3149 6.3149 5.0919 90.45 90.45 58.12
Sites, in units of the cell vectors:
Cs 0.0000 0.0000 0.0000
Rb 0.3449 0.3449 0.5635
Ag 0.6715 0.6715 0.2987
F 0.3702 0.8328 0.5186
F 0.4997 0.4997 0.0883
F 0.5102 0.9756 0.0822
F 0.8328 0.3702 0.5186
F 0.8409 0.8409 0.5138
F 0.9756 0.5102 0.0822


Entry 7:
For CsRb2AgF5, a structure optimized by DFT (GGA-PBE) gives the simulated XRD peak list in this record (λ = 1.5418 Å (Cu Kα)).
Neutral-atom scattering factors, no anomalous dispersion.

Peak list (8 most intense, 10° ≤ 2θ ≤ 80°, by angle)
two_theta  I/Imax
26.66  16
26.77  25
27.84  100
38.14  29
41.37  16
47.94  22
49.94  15
57.52  16

Cell and atoms:
Lattice parameters (Å, degrees): 7.7833 7.7833 7.7833 147.43 129.33 61.54
Sites, in units of the cell vectors:
Cs 0.0000 0.0000 0.0000
Rb 0.2877 0.7877 0.5000
Rb 0.7123 0.2123 0.5000
Ag 0.5000 0.5000 0.0000
F 0.1386 0.3741 0.7645
F 0.3904 0.6259 0.7645
F 0.5000 0.0000 0.5000
F 0.6096 0.3741 0.2355
F 0.8614 0.6259 0.2355


Entry 8:
For Cs4Rb3AgF8, a structure optimized by DFT (GGA-PBE) gives the simulated XRD peak list in this record (λ = 1.5418 Å (Cu Kα)).
Neutral-atom scattering factors, no anomalous dispersion.

Peak list (8 most intense, 10° ≤ 2θ ≤ 80°, by angle)
two_theta  I/Imax
26.31  34
26.45  100
29.85  50
30.96  90
43.48  34
43.62  33
50.97  17
52.39  22

Cell and atoms:
Lattice parameters (Å, degrees): 8.3062 8.3062 8.1923 119.35 119.35 58.72
Sites, in units of the cell vectors:
Cs 0.0000 0.0000 0.0000
Cs 0.0000 0.5000 0.5000
Cs 0.5000 0.0000 0.5000
Cs 0.5000 0.5000 0.0000
Rb 0.0000 0.0000 0.5000
Rb 0.0000 0.5000 0.0000
Rb 0.5000 0.0000 0.0000
Ag 0.5000 0.5000 0.5000
F 0.2375 0.2375 0.2261
F 0.2447 0.2447 0.7559
F 0.2682 0.7233 0.2780
F 0.2767 0.7318 0.7220
F 0.7233 0.2682 0.2780
F 0.7318 0.2767 0.7220
F 0.7553 0.7553 0.2441
F 0.7625 0.7625 0.7739